In3CuHg: theoretical powder diffractogram (λ = 1.5418 Å (Cu Kα)), based on a structure optimized by DFT (PBE).

Atomic structure:
```
In3CuHg
1.0
9.5538 0.0000 0.0000
0.0000 5.6726 0.0000
-5.3772 0.0000 8.6040
In Cu Hg
12 4 4
direct
0.0006 0.0064 0.1660
0.0006 0.4936 0.6660
0.3715 0.6320 0.6925
0.3715 0.8680 0.1925
0.3786 0.2380 0.9330
0.3786 0.2620 0.4330
0.6214 0.7380 0.5670
0.6214 0.7620 0.0670
0.6285 0.1320 0.8075
0.6285 0.3680 0.3075
0.9994 0.5064 0.3340
0.9994 0.9936 0.8340
0.2691 0.7400 0.8922
0.2691 0.7600 0.3922
0.7309 0.2400 0.6078
0.7309 0.2600 0.1078
0.1784 0.0870 0.5793
0.1784 0.4130 0.0793
0.8216 0.5870 0.9207
0.8216 0.9130 0.4207
```

Peak list (6 most intense, 15 to 90 degrees two-theta, sorted by position)
h k l	two_theta	intensity
1 1 -3	31.28	72
1 1 2	32.39	88
3 1 -1	33.04	100
1 2 -1	33.26	51
1 2 0	33.47	37
2 0 -4	35.39	46